# 1
The following is a calculated X-ray powder pattern of NaHg4Au4. It was derived from a structure optimized by DFT (GGA-PBE), using λ = 1.5418 Å (Cu Kα).
Kinematic intensities with the Lorentz-polarization factor, no thermal factor.

Crystal structure
```
18
Lattice="7.424 0.000 0.000 0.000 7.424 0.000 0.000 0.000 8.282" Properties=species:S:1:pos:R:3 pbc="T T T"
Na 1.856 5.568 2.070
Na 5.568 1.856 6.211
Hg 0.202 5.568 5.022
Hg 1.856 3.914 7.401
Hg 1.856 7.221 7.401
Hg 3.509 5.568 5.022
Hg 3.914 1.856 3.260
Hg 5.568 0.202 0.881
Hg 5.568 3.509 0.881
Hg 7.221 1.856 3.260
Au 0.443 1.856 0.446
Au 1.856 0.443 4.586
Au 1.856 3.269 4.586
Au 3.269 1.856 0.446
Au 4.155 5.568 7.836
Au 5.568 4.155 3.695
Au 5.568 6.981 3.695
Au 6.981 5.568 7.836
```

Top 6 peaks for 10 to 90 degrees two-theta, most intense first:
d (Å)	2theta	I_rel
2.625	34.2	100
5.528	16.0	85
2.588	34.7	76
2.259	39.9	71
2.123	42.6	70
2.216	40.7	65

# 2
The following is a calculated X-ray powder pattern of Dy3Sb. It was derived from a structure optimized by DFT (GGA-PBE), using λ = 1.5418 Å (Cu Kα).
Kinematic intensities with the Lorentz-polarization factor, no thermal factor.

Crystal structure
```
32
Lattice="12.390 0.000 0.000 0.000 12.390 0.000 0.000 0.000 6.161" Properties=species:S:1:pos:R:3 pbc="T T T"
Dy 0.442 7.142 1.443
Dy 0.947 11.948 4.524
Dy 1.321 2.711 0.207
Dy 1.742 8.261 4.400
Dy 2.066 10.648 1.319
Dy 2.711 4.874 2.873
Dy 3.484 1.321 2.873
Dy 4.129 7.938 1.319
Dy 4.453 10.324 4.400
Dy 4.874 3.484 0.207
Dy 5.248 6.637 4.524
Dy 5.753 11.444 1.443
Dy 6.637 0.947 4.718
Dy 7.142 5.753 1.637
Dy 7.516 8.906 5.954
Dy 7.938 2.066 1.761
Dy 8.261 4.453 4.842
Dy 8.906 11.070 3.287
Dy 9.679 7.516 3.287
Dy 10.324 1.742 4.842
Dy 10.648 4.129 1.761
Dy 11.070 9.679 5.954
Dy 11.444 0.442 1.637
Dy 11.948 5.248 4.718
Sb 0.617 2.562 3.323
Sb 2.562 5.578 5.918
Sb 3.633 0.617 5.918
Sb 5.578 3.633 3.323
Sb 6.812 8.757 2.838
Sb 8.757 11.773 0.243
Sb 9.828 6.812 0.243
Sb 11.773 9.828 2.838
```

Top 6 peaks for 10 to 90 degrees two-theta, most intense first:
d (Å)	2theta	I_rel
3.001	29.8	100
2.701	33.2	90
2.770	32.3	73
2.906	30.8	70
2.920	30.6	54
2.422	37.1	51

# 3
The following is a calculated X-ray powder pattern of Tm2Sc7Tl2. It was derived from a structure optimized by DFT (GGA-PBE), using λ = 1.5418 Å (Cu Kα).
Kinematic intensities with the Lorentz-polarization factor, no thermal factor.

Crystal structure
```
11
Lattice="4.739 -5.285 0.000 4.739 5.285 0.000 -2.075 0.000 5.604" Properties=species:S:1:pos:R:3 pbc="T T T"
Tm 1.671 0.000 0.624
Tm 5.731 0.000 4.980
Sc -1.038 0.000 2.802
Sc 2.450 2.791 1.807
Sc 2.448 0.000 3.793
Sc 4.952 2.791 3.797
Sc 2.450 -2.791 1.807
Sc 4.954 0.000 1.811
Sc 4.952 -2.791 3.797
Tl 4.739 2.522 0.000
Tl 4.739 -2.522 0.000
```

Top 6 peaks for 10 to 90 degrees two-theta, most intense first:
d (Å)	2theta	I_rel
2.616	34.3	100
5.604	15.8	69
2.643	33.9	50
3.401	26.2	44
2.859	31.3	35
2.976	30.0	31

# 4
The following is a calculated X-ray powder pattern of TaAgSn2. It was derived from a structure optimized by DFT (GGA-PBE), using λ = 1.5418 Å (Cu Kα).
Kinematic intensities with the Lorentz-polarization factor, no thermal factor.

Crystal structure
```
4
Lattice="1.571 0.907 10.452 -1.571 0.907 10.452 0.000 -1.814 10.452" Properties=species:S:1:pos:R:3 pbc="T T T"
Ta 0.000 0.000 0.000
Ag 0.000 0.000 15.677
Sn 0.000 0.000 2.831
Sn 0.000 0.000 28.524
```

Top 6 peaks for 10 to 90 degrees two-theta, most intense first:
d (Å)	2theta	I_rel
2.681	33.4	100
2.055	44.1	72
2.613	34.3	50
2.711	33.0	49
1.347	69.9	39
1.571	58.8	37

# 5
The following is a calculated X-ray powder pattern of ZnGa2Te4. It was derived from a structure optimized by DFT (GGA-PBE), using λ = 1.5418 Å (Cu Kα).
Kinematic intensities with the Lorentz-polarization factor, no thermal factor.

Crystal structure
```
7
Lattice="6.000 0.000 0.000 0.000 6.000 0.000 0.000 0.000 6.092" Properties=species:S:1:pos:R:3 pbc="T T T"
Zn 0.000 0.000 0.000
Ga 0.000 3.000 3.046
Ga 3.000 0.000 3.046
Te 1.610 1.610 1.412
Te 1.610 4.390 4.680
Te 4.390 1.610 4.680
Te 4.390 4.390 1.412
```

Top 6 peaks for 10 to 90 degrees two-theta, most intense first:
d (Å)	2theta	I_rel
3.482	25.6	100
2.138	42.3	43
1.812	50.4	28
2.121	42.6	21
1.832	49.8	15
1.228	77.8	12

# 6
The following is a calculated X-ray powder pattern of Ba2SnHg2. It was derived from a structure optimized by DFT (GGA-PBE), using λ = 1.5418 Å (Cu Kα).
Kinematic intensities with the Lorentz-polarization factor, no thermal factor.

Crystal structure
```
10
Lattice="5.945 -3.266 0.000 5.945 3.266 0.000 -2.496 0.000 8.976" Properties=species:S:1:pos:R:3 pbc="T T T"
Ba 1.392 0.870 1.356
Ba 0.144 -0.870 5.844
Ba 9.251 0.870 3.132
Ba 8.003 -0.870 7.620
Sn 5.321 1.094 2.244
Sn 4.073 -1.094 6.732
Hg 3.099 0.887 4.577
Hg 5.048 0.887 8.887
Hg 4.347 -0.887 0.089
Hg 6.296 -0.887 4.399
```

Top 6 peaks for 10 to 90 degrees two-theta, most intense first:
d (Å)	2theta	I_rel
2.805	31.9	100
2.607	34.4	94
2.815	31.8	83
3.010	29.7	64
2.886	31.0	62
2.775	32.3	53

# 7
The following is a calculated X-ray powder pattern of HfPa3Si6. It was derived from a structure optimized by DFT (GGA-PBE), using λ = 1.5418 Å (Cu Kα).
Kinematic intensities with the Lorentz-polarization factor, no thermal factor.

Crystal structure
```
20
Lattice="5.517 3.185 3.679 -5.517 3.185 3.679 0.000 -6.371 3.679" Properties=species:S:1:pos:R:3 pbc="T T T"
Hf 0.000 0.000 0.000
Hf 0.000 0.000 5.519
Pa -3.103 0.997 4.599
Pa -2.415 -2.188 6.438
Pa 0.688 -3.185 4.599
Pa -0.688 3.185 6.438
Pa 2.415 2.188 4.599
Pa 3.103 -0.997 6.438
Si -0.401 -2.057 1.784
Si -1.581 1.376 1.784
Si -1.581 -1.376 3.735
Si 1.982 0.681 1.784
Si -0.401 2.057 3.735
Si 1.982 -0.681 3.735
Si -1.982 0.681 7.302
Si 0.401 -2.057 7.302
Si -1.982 -0.681 9.254
Si 1.581 1.376 7.302
Si 1.581 -1.376 9.254
Si 0.401 2.057 9.254
```

Top 6 peaks for 10 to 90 degrees two-theta, most intense first:
d (Å)	2theta	I_rel
2.389	37.6	100
2.577	34.8	66
4.779	18.6	43
3.061	29.2	33
2.759	32.5	26
3.022	29.6	24

# 8
The following is a calculated X-ray powder pattern of Tb2DySc5. It was derived from a structure optimized by DFT (GGA-PBE), using λ = 1.5418 Å (Cu Kα).
Kinematic intensities with the Lorentz-polarization factor, no thermal factor.

Crystal structure
```
8
Lattice="0.000 5.354 5.942 3.429 0.000 5.942 3.429 5.354 0.000" Properties=species:S:1:pos:R:3 pbc="T T T"
Tb 3.429 2.625 5.942
Tb 3.429 8.083 5.942
Dy 3.429 5.354 3.921
Sc 1.715 2.677 2.927
Sc 5.127 5.354 6.947
Sc 5.144 8.031 8.868
Sc 3.429 5.354 9.843
Sc 1.732 5.354 6.947
```

Top 6 peaks for 10 to 90 degrees two-theta, most intense first:
d (Å)	2theta	I_rel
2.597	34.5	100
2.970	30.1	26
3.977	22.4	25
2.677	33.5	24
1.444	64.5	20
1.530	60.5	19

# 9
The following is a calculated X-ray powder pattern of SmZn6Au2. It was derived from a structure optimized by DFT (GGA-PBE), using λ = 1.5418 Å (Cu Kα).
Kinematic intensities with the Lorentz-polarization factor, no thermal factor.

Crystal structure
```
9
Lattice="-2.017 3.307 6.197 2.017 -3.307 6.197 2.017 3.307 -6.197" Properties=species:S:1:pos:R:3 pbc="T T T"
Sm 0.000 0.000 0.000
Zn 2.017 1.337 -2.338
Zn 2.017 2.106 0.000
Zn 2.017 1.337 2.338
Zn 0.000 1.970 3.859
Zn 0.000 1.202 6.197
Zn 0.000 1.970 8.536
Au 2.017 0.000 4.655
Au 0.000 3.307 1.543
```

Top 6 peaks for 10 to 90 degrees two-theta, most intense first:
d (Å)	2theta	I_rel
2.505	35.8	100
2.304	39.1	76
1.945	46.7	37
2.017	44.9	33
3.011	29.7	31
3.504	25.4	27

# 10
The following is a calculated X-ray powder pattern of Rb3C. It was derived from a structure optimized by DFT (GGA-PBE), using λ = 1.5418 Å (Cu Kα).
Kinematic intensities with the Lorentz-polarization factor, no thermal factor.

Crystal structure
```
4
Lattice="4.623 0.000 0.000 -2.312 4.004 0.000 0.000 0.000 12.314" Properties=species:S:1:pos:R:3 pbc="T T T"
Rb 0.000 0.000 0.000
Rb 2.312 1.335 4.389
Rb 2.312 1.335 7.925
C 0.000 0.000 6.157
```

Top 6 peaks for 10 to 90 degrees two-theta, most intense first:
d (Å)	2theta	I_rel
3.808	23.4	100
2.441	36.8	58
4.004	22.2	51
3.357	26.6	44
4.105	21.7	43
2.312	39.0	37

# 11
The following is a calculated X-ray powder pattern of Ba6Bi2SbAs. It was derived from a structure optimized by DFT (GGA-PBE), using λ = 1.5418 Å (Cu Kα).
Kinematic intensities with the Lorentz-polarization factor, no thermal factor.

Crystal structure
```
20
Lattice="8.536 0.000 0.000 0.000 9.234 0.000 -8.484 0.000 12.226" Properties=species:S:1:pos:R:3 pbc="T T T"
Ba -1.180 0.624 2.975
Ba -5.422 3.993 9.088
Ba 1.514 6.415 0.858
Ba -2.729 7.436 6.971
Ba 2.643 1.676 0.808
Ba -1.600 2.941 6.921
Ba 1.651 6.293 5.305
Ba -2.591 7.558 11.418
Ba 2.780 1.798 5.255
Ba -1.462 2.819 11.368
Ba 5.474 5.241 3.138
Ba 1.231 8.610 9.251
Bi -3.980 0.754 9.182
Bi 0.263 3.863 3.070
Bi -0.211 5.371 9.156
Bi 4.031 8.480 3.043
Sb 0.026 0.000 6.113
Sb 4.268 4.617 0.000
As 0.000 0.000 0.000
As -4.242 4.617 6.113
```

Top 6 peaks for 10 to 90 degrees two-theta, most intense first:
d (Å)	2theta	I_rel
3.688	24.1	100
2.817	31.8	52
4.376	20.3	47
3.056	29.2	47
3.416	26.1	45
2.481	36.2	40

# 12
The following is a calculated X-ray powder pattern of Ce6TcPb2. It was derived from a structure optimized by DFT (GGA-PBE), using λ = 1.5418 Å (Cu Kα).
Kinematic intensities with the Lorentz-polarization factor, no thermal factor.

Crystal structure
```
9
Lattice="0.000 4.980 4.980 4.980 0.000 4.980 4.980 4.980 0.000" Properties=species:S:1:pos:R:3 pbc="T T T"
Ce 4.980 4.980 2.306
Ce 4.980 2.306 4.980
Ce 7.653 4.980 4.980
Ce 2.306 4.980 4.980
Ce 4.980 7.653 4.980
Ce 4.980 4.980 7.653
Tc 4.980 4.980 4.980
Pb 2.490 2.490 2.490
Pb 7.469 7.469 7.469
```

Top 6 peaks for 10 to 90 degrees two-theta, most intense first:
d (Å)	2theta	I_rel
2.875	31.1	100
2.490	36.1	70
1.761	51.9	47
1.501	61.8	39
1.113	87.6	19
1.437	64.9	15

Number 5 is which compound? ZnGa2Te4